(1)
Calculated XRD peak list
Compound: NiAs4Os
Radiation: Cu Kα X-rays
Structure: a DFT-relaxed cell (PBE, OQMD)
Intensities are scaled so that the largest is 100.

Peak list (10 most intense, 10 to 80 degrees two-theta, sorted by position)
2θ = 14.53°, intensity 29; 2θ = 22.37°, intensity 48; 2θ = 32.90°, intensity 100; 2θ = 34.04°, intensity 59; 2θ = 36.13°, intensity 63; 2θ = 44.64°, intensity 34; 2θ = 47.32°, intensity 72; 2θ = 48.02°, intensity 31; 2θ = 53.50°, intensity 43; 2θ = 54.63°, intensity 32

```
data_NiAs4Os
_chemical_formula_sum 'Ni1 As4 Os1'
_symmetry_space_group_name_H-M 'P 1'
_symmetry_Int_Tables_number 1
_cell_length_a 5.243
_cell_length_b 3.185
_cell_length_c 6.095
_cell_angle_alpha 90.00
_cell_angle_beta 90.08
_cell_angle_gamma 90.00
loop_
_symmetry_equiv_pos_as_xyz
'x,y,z'
loop_
_atom_site_label
_atom_site_type_symbol
_atom_site_fract_x
_atom_site_fract_y
_atom_site_fract_z
Ni1 Ni 0.000 0.000 0.000
As1 As 0.172 0.000 0.640
As2 As 0.312 0.500 0.128
As3 As 0.688 0.500 0.872
As4 As 0.828 0.000 0.360
Os1 Os 0.500 0.500 0.500
```

=====

(2)
Calculated XRD peak list
Compound: Rb2Ag2OsS4
Radiation: Cu Kα X-rays
Structure: a DFT-relaxed cell (PBE, OQMD)
Intensities are scaled so that the largest is 100.

Peak list (10 most intense, 10 to 80 degrees two-theta, sorted by position)
2θ = 13.73°, intensity 77; 2θ = 24.79°, intensity 28; 2θ = 26.53°, intensity 45; 2θ = 28.09°, intensity 41; 2θ = 28.81°, intensity 34; 2θ = 30.35°, intensity 17; 2θ = 30.99°, intensity 42; 2θ = 31.36°, intensity 100; 2θ = 33.80°, intensity 30; 2θ = 39.52°, intensity 20

```
data_Rb2Ag2OsS4
_chemical_formula_sum 'Rb4 Ag4 Os2 S8'
_symmetry_space_group_name_H-M 'P 1'
_symmetry_Int_Tables_number 1
_cell_length_a 12.059
_cell_length_b 12.059
_cell_length_c 6.351
_cell_angle_alpha 97.78
_cell_angle_beta 97.78
_cell_angle_gamma 143.92
loop_
_symmetry_equiv_pos_as_xyz
'x,y,z'
loop_
_atom_site_label
_atom_site_type_symbol
_atom_site_fract_x
_atom_site_fract_y
_atom_site_fract_z
Rb1 Rb 0.061 0.939 0.750
Rb2 Rb 0.192 0.808 0.250
Rb3 Rb 0.808 0.192 0.750
Rb4 Rb 0.939 0.061 0.250
Ag1 Ag 0.313 0.687 0.750
Ag2 Ag 0.472 0.528 0.750
Ag3 Ag 0.528 0.472 0.250
Ag4 Ag 0.687 0.313 0.250
Os1 Os 0.372 0.628 0.250
Os2 Os 0.628 0.372 0.750
S1 S 0.110 0.475 0.340
S2 S 0.242 0.374 0.965
S3 S 0.374 0.242 0.465
S4 S 0.475 0.110 0.840
S5 S 0.525 0.890 0.160
S6 S 0.626 0.758 0.535
S7 S 0.758 0.626 0.035
S8 S 0.890 0.525 0.660
```

=====

(3)
Calculated XRD peak list
Compound: Li4NiPb2Au
Radiation: Cu Kα X-rays
Structure: a DFT-relaxed cell (PBE, OQMD)
Intensities are scaled so that the largest is 100.

Peak list (10 most intense, 10 to 80 degrees two-theta, sorted by position)
2θ = 23.85°, intensity 100; 2θ = 30.99°, intensity 10; 2θ = 39.35°, intensity 57; 2θ = 39.61°, intensity 30; 2θ = 46.30°, intensity 15; 2θ = 46.76°, intensity 34; 2θ = 57.26°, intensity 10; 2θ = 62.53°, intensity 12; 2θ = 71.69°, intensity 20; 2θ = 76.94°, intensity 8

```
data_Li4NiPb2Au
_chemical_formula_sum 'Li4 Ni1 Pb2 Au1'
_symmetry_space_group_name_H-M 'P 1'
_symmetry_Int_Tables_number 1
_cell_length_a 4.551
_cell_length_b 4.551
_cell_length_c 6.518
_cell_angle_alpha 90.00
_cell_angle_beta 90.00
_cell_angle_gamma 90.00
loop_
_symmetry_equiv_pos_as_xyz
'x,y,z'
loop_
_atom_site_label
_atom_site_type_symbol
_atom_site_fract_x
_atom_site_fract_y
_atom_site_fract_z
Li1 Li 0.000 0.000 0.000
Li2 Li 0.000 0.500 0.248
Li3 Li 0.500 0.000 0.752
Li4 Li 0.500 0.500 0.500
Ni1 Ni 0.500 0.500 0.000
Pb1 Pb 0.000 0.500 0.778
Pb2 Pb 0.500 0.000 0.222
Au1 Au 0.000 0.000 0.500
```

=====

(4)
Calculated XRD peak list
Compound: CuGeBi
Radiation: Cu Kα X-rays
Structure: a DFT-relaxed cell (PBE, OQMD)
Intensities are scaled so that the largest is 100.

Peak list (10 most intense, 10 to 80 degrees two-theta, sorted by position)
2θ = 23.95°, intensity 43; 2θ = 27.73°, intensity 46; 2θ = 39.62°, intensity 100; 2θ = 46.83°, intensity 23; 2θ = 49.04°, intensity 14; 2θ = 57.27°, intensity 17; 2θ = 62.97°, intensity 10; 2θ = 64.80°, intensity 18; 2θ = 71.88°, intensity 35; 2θ = 77.01°, intensity 7

```
data_CuGeBi
_chemical_formula_sum 'Cu1 Ge1 Bi1'
_symmetry_space_group_name_H-M 'P 1'
_symmetry_Int_Tables_number 1
_cell_length_a 4.550
_cell_length_b 4.550
_cell_length_c 4.550
_cell_angle_alpha 60.00
_cell_angle_beta 60.00
_cell_angle_gamma 60.00
loop_
_symmetry_equiv_pos_as_xyz
'x,y,z'
loop_
_atom_site_label
_atom_site_type_symbol
_atom_site_fract_x
_atom_site_fract_y
_atom_site_fract_z
Cu1 Cu 0.000 0.000 0.000
Ge1 Ge 0.250 0.250 0.250
Bi1 Bi 0.750 0.750 0.750
```

=====

(5)
Calculated XRD peak list
Compound: GdHoAu2O4
Radiation: Cu Kα X-rays
Structure: a DFT-relaxed cell (PBE, OQMD)
Intensities are scaled so that the largest is 100.

Peak list (10 most intense, 10 to 80 degrees two-theta, sorted by position)
2θ = 29.26°, intensity 41; 2θ = 30.00°, intensity 70; 2θ = 32.63°, intensity 100; 2θ = 36.65°, intensity 24; 2θ = 47.57°, intensity 19; 2θ = 51.53°, intensity 33; 2θ = 54.06°, intensity 29; 2θ = 60.36°, intensity 33; 2θ = 62.34°, intensity 16; 2θ = 77.93°, intensity 10

```
data_GdHoAu2O4
_chemical_formula_sum 'Gd1 Ho1 Au2 O4'
_symmetry_space_group_name_H-M 'P 1'
_symmetry_Int_Tables_number 1
_cell_length_a 3.547
_cell_length_b 3.547
_cell_length_c 12.210
_cell_angle_alpha 90.00
_cell_angle_beta 90.00
_cell_angle_gamma 120.00
loop_
_symmetry_equiv_pos_as_xyz
'x,y,z'
loop_
_atom_site_label
_atom_site_type_symbol
_atom_site_fract_x
_atom_site_fract_y
_atom_site_fract_z
Gd1 Gd 0.000 0.000 0.000
Ho1 Ho 0.000 0.000 0.500
Au1 Au 0.333 0.667 0.252
Au2 Au 0.667 0.333 0.748
O1 O 0.333 0.667 0.085
O2 O 0.333 0.667 0.419
O3 O 0.667 0.333 0.581
O4 O 0.667 0.333 0.915
```

=====

(6)
Calculated XRD peak list
Compound: Zr3Ge7
Radiation: Cu Kα X-rays
Structure: a DFT-relaxed cell (PBE, OQMD)
Intensities are scaled so that the largest is 100.

Peak list (10 most intense, 10 to 80 degrees two-theta, sorted by position)
2θ = 27.07°, intensity 2; 2θ = 31.89°, intensity 2; 2θ = 37.56°, intensity 100; 2θ = 41.14°, intensity 3; 2θ = 46.02°, intensity 12; 2θ = 46.89°, intensity 12; 2θ = 60.84°, intensity 8; 2θ = 61.56°, intensity 8; 2θ = 67.78°, intensity 15; 2θ = 79.55°, intensity 9

```
data_Zr3Ge7
_chemical_formula_sum 'Zr3 Ge7'
_symmetry_space_group_name_H-M 'P 1'
_symmetry_Int_Tables_number 1
_cell_length_a 12.134
_cell_length_b 12.134
_cell_length_c 3.944
_cell_angle_alpha 90.00
_cell_angle_beta 90.00
_cell_angle_gamma 161.62
loop_
_symmetry_equiv_pos_as_xyz
'x,y,z'
loop_
_atom_site_label
_atom_site_type_symbol
_atom_site_fract_x
_atom_site_fract_y
_atom_site_fract_z
Zr1 Zr 0.000 0.000 0.000
Zr2 Zr 0.313 0.687 0.500
Zr3 Zr 0.687 0.313 0.500
Ge1 Ge 0.096 0.904 0.500
Ge2 Ge 0.212 0.788 0.000
Ge3 Ge 0.404 0.596 0.000
Ge4 Ge 0.500 0.500 0.500
Ge5 Ge 0.596 0.404 0.000
Ge6 Ge 0.788 0.212 0.000
Ge7 Ge 0.904 0.096 0.500
```

=====

(7)
Calculated XRD peak list
Compound: Pr5PaN6
Radiation: Cu Kα X-rays
Structure: a DFT-relaxed cell (PBE, OQMD)
Intensities are scaled so that the largest is 100.

Peak list (10 most intense, 10 to 80 degrees two-theta, sorted by position)
2θ = 16.98°, intensity 2; 2θ = 19.06°, intensity 2; 2θ = 30.09°, intensity 100; 2θ = 34.88°, intensity 72; 2θ = 50.16°, intensity 50; 2θ = 59.59°, intensity 35; 2θ = 59.66°, intensity 12; 2θ = 62.52°, intensity 13; 2θ = 62.64°, intensity 4; 2θ = 73.66°, intensity 8

```
data_Pr5PaN6
_chemical_formula_sum 'Pr5 Pa1 N6'
_symmetry_space_group_name_H-M 'P 1'
_symmetry_Int_Tables_number 1
_cell_length_a 6.302
_cell_length_b 6.302
_cell_length_c 6.295
_cell_angle_alpha 99.63
_cell_angle_beta 99.63
_cell_angle_gamma 119.95
loop_
_symmetry_equiv_pos_as_xyz
'x,y,z'
loop_
_atom_site_label
_atom_site_type_symbol
_atom_site_fract_x
_atom_site_fract_y
_atom_site_fract_z
Pr1 Pr 0.000 0.000 0.000
Pr2 Pr 0.167 0.833 0.500
Pr3 Pr 0.334 0.666 0.000
Pr4 Pr 0.666 0.334 0.000
Pr5 Pr 0.833 0.167 0.500
Pa1 Pa 0.500 0.500 0.500
N1 N 0.117 0.422 0.267
N2 N 0.272 0.272 0.736
N3 N 0.422 0.117 0.267
N4 N 0.578 0.883 0.733
N5 N 0.728 0.728 0.264
N6 N 0.883 0.578 0.733
```

=====

(8)
Calculated XRD peak list
Compound: Zr3Ge5Au
Radiation: Cu Kα X-rays
Structure: a DFT-relaxed cell (PBE, OQMD)
Intensities are scaled so that the largest is 100.

Peak list (10 most intense, 10 to 80 degrees two-theta, sorted by position)
2θ = 21.75°, intensity 33; 2θ = 25.83°, intensity 26; 2θ = 30.52°, intensity 80; 2θ = 31.36°, intensity 45; 2θ = 33.23°, intensity 71; 2θ = 35.39°, intensity 38; 2θ = 43.20°, intensity 36; 2θ = 44.33°, intensity 100; 2θ = 63.52°, intensity 30; 2θ = 65.45°, intensity 28

```
data_Zr3Ge5Au
_chemical_formula_sum 'Zr3 Ge5 Au1'
_symmetry_space_group_name_H-M 'P 1'
_symmetry_Int_Tables_number 1
_cell_length_a 5.858
_cell_length_b 5.858
_cell_length_c 6.897
_cell_angle_alpha 90.00
_cell_angle_beta 90.00
_cell_angle_gamma 120.00
loop_
_symmetry_equiv_pos_as_xyz
'x,y,z'
loop_
_atom_site_label
_atom_site_type_symbol
_atom_site_fract_x
_atom_site_fract_y
_atom_site_fract_z
Zr1 Zr 0.000 0.500 0.000
Zr2 Zr 0.500 0.000 0.000
Zr3 Zr 0.500 0.500 0.000
Ge1 Ge 0.000 0.000 0.000
Ge2 Ge 0.333 0.667 0.328
Ge3 Ge 0.333 0.667 0.672
Ge4 Ge 0.667 0.333 0.328
Ge5 Ge 0.667 0.333 0.672
Au1 Au 0.000 0.000 0.500
```